Simulated powder X-ray diffraction pattern
Compound: Na3Fe2Mo5O16
Radiation: CuKα
Structure: the GGA+U geometry in Alexandria
Kinematic intensities with the Lorentz-polarization factor, no thermal factor.

Largest 10 diffraction maxima, sorted by position, 2θ from 10° to 80°:
(hkl)	d_spacing	Rel. int.
1 0 2	4.751	45
0 1 4	3.769	100
0 0 6	3.575	42
1 1 0	3.060	47
1 0 6	2.964	86
1 1 2	2.942	54
2 0 2	2.572	90
2 0 8	1.885	57
0 2 10	1.667	46
2 2 0	1.530	52

Crystal structure
Cell lengths 6.1191, 6.1191, 21.4503 Å; angles 90.00, 90.00, 120.00 degrees
Space group P-3m1 (No. 164)
Unique sites:
Na (0.0000, 0.0000, 0.0000)
Na (0.0000, 0.0000, 0.5000)
Na (0.3333, 0.6667, 0.1104)
Na (0.3333, 0.6667, 0.6157)
Fe (0.0000, 0.0000, 0.1494)
Fe (0.0000, 0.0000, 0.3514)
Mo (0.0027, 0.5014, 0.7535)
Mo (0.3333, 0.6667, 0.4304)
Mo (0.3333, 0.6667, 0.9241)
O (0.1614, 0.3229, 0.9100)
O (0.1671, 0.3342, 0.4089)
O (0.1702, 0.3404, 0.1934)
O (0.1772, 0.3543, 0.7030)
O (0.3333, 0.6667, 0.0060)
O (0.3333, 0.6667, 0.2970)
O (0.3333, 0.6667, 0.5126)
O (0.3333, 0.6667, 0.8100)

---

Simulated powder X-ray diffraction pattern
Compound: NaFeMo2O8
Radiation: CuKα
Structure: the GGA+U geometry in Alexandria
Kinematic intensities with the Lorentz-polarization factor, no thermal factor.

Largest 10 diffraction maxima, sorted by position, 2θ from 10° to 80°:
(hkl)	d_spacing	Rel. int.
0 0 2	7.001	13
2 0 2	4.071	50
1 1 -2	3.930	100
2 0 4	2.864	11
3 1 0	2.839	42
1 1 -4	2.819	20
0 2 0	2.694	13
1 1 6	2.093	9
2 2 -4	1.964	11
4 2 -2	1.776	10

Crystal structure
Cell lengths 10.023, 5.388, 14.002 Å; angles 90.00, 90.23, 90.00 degrees
Space group C2/c (No. 15)
Unique sites:
Na (0.000, 0.071, 0.250)
Fe (0.000, 0.000, 0.000)
Mo (0.173, 0.466, 0.883)
O (0.077, 0.177, 0.885)
O (0.099, 0.313, 0.462)
O (0.153, 0.093, 0.085)
O (0.165, 0.405, 0.268)

---

Simulated powder X-ray diffraction pattern
Compound: Na3FeMo3O8
Radiation: CuKα
Structure: the GGA+U geometry in Alexandria
Kinematic intensities with the Lorentz-polarization factor, no thermal factor.

Largest 10 diffraction maxima, sorted by position, 2θ from 10° to 80°:
(hkl)	d_spacing	Rel. int.
0 0 1	5.496	100
0 0 2	2.750	28
2 2 -1	2.716	23
4 0 -2	2.638	13
2 2 0	2.615	25
4 0 0	2.316	29
2 2 -2	2.288	56
2 2 -3	1.788	11
4 0 -4	1.653	24
6 2 -2	1.604	17

Crystal structure
Cell lengths 11.158, 6.336, 6.620 Å; angles 90.00, 123.88, 90.00 degrees
Space group C2/m (No. 12)
Unique sites:
Na (0.000, 0.000, 0.000)
Na (0.250, 0.250, 0.000)
Fe (0.000, 0.000, 0.500)
Mo (0.000, 0.500, 0.500)
Mo (0.250, 0.250, 0.500)
O (0.014, 0.253, 0.306)
O (0.216, 0.000, 0.690)
O (0.233, 0.500, 0.710)